# Ca3Ag2Br8
Calculated X-ray diffraction stick pattern, λ = 1.5418 Å (Cu Kα). Input: a cell relaxed with GGA-PBE.

Atomic structure:
```
Ca3Ag2Br8
1.0
7.3296 -4.2801 0.0000
7.3296 4.2801 0.0000
-2.6974 0.0000 6.9965
Ca Ag Br
3 2 8
direct
0.0000 0.0000 0.0000
0.2520 0.7480 0.5000
0.7480 0.2520 0.5000
0.3893 0.3893 0.9318
0.6107 0.6107 0.0682
0.1144 0.1144 0.7485
0.1170 0.6444 0.7393
0.3556 0.8830 0.2607
0.3756 0.3756 0.2746
0.6244 0.6244 0.7254
0.6444 0.1170 0.7393
0.8830 0.3556 0.2607
0.8856 0.8856 0.2515
```

Largest 8 diffraction maxima, sorted by position, 2θ = 10–90°:
- 2θ 12.94, I 35
- 2θ 24.38, I 35
- 2θ 25.42, I 64
- 2θ 26.06, I 90
- 2θ 29.23, I 47
- 2θ 29.83, I 100
- 2θ 41.85, I 76
- 2θ 42.23, I 41